Starting from a cell relaxed with PBE, the X-ray powder pattern of TlAg2Pd5 was calculated for λ = 1.5418 Å (Cu Kα).
Lines closer than 0.1° are merged.

Atomic structure:
Lattice parameters (Å, degrees): 8.490 8.490 8.490 152.04 152.04 39.95
Atoms (fractional coordinates):
1 Tl 0.000 0.000 0.000
2 Ag 0.250 0.250 0.000
3 Ag 0.750 0.750 0.000
4 Pd 0.125 0.625 0.500
5 Pd 0.375 0.875 0.500
6 Pd 0.500 0.500 0.000
7 Pd 0.625 0.125 0.500
8 Pd 0.875 0.375 0.500

The 10 most intense peaks (10 to 90 degrees two-theta), sorted by position:
| Position (°2θ) | intensity |
| --- | --- |
| 11.09 | 3.2 |
| 22.36 | 4.4 |
| 38.37 | 100.0 |
| 44.16 | 33.4 |
| 45.47 | 15.8 |
| 64.23 | 10.7 |
| 65.25 | 20.8 |
| 77.36 | 24.9 |
| 79.25 | 11.7 |
| 82.18 | 10.8 |



Starting from a cell relaxed with PBE, the X-ray powder pattern of TlAgPd was calculated for λ = 1.5418 Å (Cu Kα).
Lines closer than 0.1° are merged.

Atomic structure:
Lattice parameters (Å, degrees): 5.672 5.672 5.672 131.26 116.64 83.80
Atoms (fractional coordinates):
1 Tl 0.248 0.000 0.248
2 Tl 0.752 0.000 0.752
3 Ag 0.334 0.334 0.000
4 Ag 0.666 0.666 0.000
5 Pd 0.163 0.663 0.500
6 Pd 0.837 0.337 0.500

The 10 most intense peaks (10 to 90 degrees two-theta), sorted by position:
| Position (°2θ) | intensity |
| --- | --- |
| 21.71 | 7.5 |
| 36.93 | 25.8 |
| 37.31 | 100.0 |
| 38.46 | 21.9 |
| 53.18 | 9.9 |
| 54.38 | 16.9 |
| 66.73 | 8.7 |
| 67.52 | 9.6 |
| 68.81 | 16.5 |
| 74.93 | 12.1 |



Starting from a cell relaxed with PBE, the X-ray powder pattern of TlAg23Pd6 was calculated for λ = 1.5418 Å (Cu Kα).
Lines closer than 0.1° are merged.

Atomic structure:
Lattice parameters (Å, degrees): 10.059 10.059 10.059 132.19 132.19 69.93
Atoms (fractional coordinates):
1 Tl 0.000 0.000 0.000
2 Ag 0.000 0.000 0.500
3 Ag 0.000 0.500 0.000
4 Ag 0.000 0.500 0.500
5 Ag 0.125 0.375 0.751
6 Ag 0.127 0.871 0.256
7 Ag 0.129 0.386 0.256
8 Ag 0.129 0.873 0.744
9 Ag 0.375 0.125 0.751
10 Ag 0.375 0.624 0.249
11 Ag 0.376 0.625 0.751
12 Ag 0.386 0.129 0.256
13 Ag 0.500 0.000 0.000
14 Ag 0.500 0.000 0.500
15 Ag 0.500 0.500 0.000
16 Ag 0.500 0.500 0.500
17 Ag 0.614 0.871 0.744
18 Ag 0.624 0.375 0.249
19 Ag 0.625 0.376 0.751
20 Ag 0.625 0.875 0.249
21 Ag 0.871 0.127 0.256
22 Ag 0.871 0.614 0.744
23 Ag 0.873 0.129 0.744
24 Ag 0.875 0.625 0.249
25 Pd 0.247 0.247 0.495
26 Pd 0.247 0.753 0.000
27 Pd 0.250 0.250 0.000
28 Pd 0.750 0.750 0.000
29 Pd 0.753 0.247 0.000
30 Pd 0.753 0.753 0.505

The 10 most intense peaks (10 to 90 degrees two-theta), sorted by position:
| Position (°2θ) | intensity |
| --- | --- |
| 15.37 | 3.0 |
| 24.36 | 3.1 |
| 38.10 | 100.0 |
| 43.93 | 16.4 |
| 44.45 | 31.9 |
| 64.28 | 20.0 |
| 64.68 | 9.9 |
| 76.87 | 11.7 |
| 77.61 | 23.1 |
| 81.50 | 10.1 |



Starting from a cell relaxed with PBE, the X-ray powder pattern of TlAg4Pd3 was calculated for λ = 1.5418 Å (Cu Kα).
Lines closer than 0.1° are merged.

Atomic structure:
Lattice parameters (Å, degrees): 9.813 9.813 4.899 92.58 92.58 17.45
Atoms (fractional coordinates):
1 Tl 0.000 0.000 0.000
2 Ag 0.129 0.129 0.379
3 Ag 0.367 0.367 0.127
4 Ag 0.633 0.633 0.873
5 Ag 0.871 0.871 0.621
6 Pd 0.252 0.252 0.747
7 Pd 0.500 0.500 0.500
8 Pd 0.748 0.748 0.253

The 10 most intense peaks (10 to 90 degrees two-theta), sorted by position:
| Position (°2θ) | intensity |
| --- | --- |
| 37.11 | 50.2 |
| 37.70 | 100.0 |
| 38.35 | 49.9 |
| 42.99 | 67.9 |
| 45.47 | 28.4 |
| 62.42 | 21.4 |
| 63.52 | 19.2 |
| 65.19 | 20.8 |
| 74.87 | 12.3 |
| 75.65 | 12.5 |



Starting from a cell relaxed with PBE, the X-ray powder pattern of TlAg6Pd3 was calculated for λ = 1.5418 Å (Cu Kα).
Lines closer than 0.1° are merged.

Atomic structure:
Lattice parameters (Å, degrees): 9.749 9.749 5.254 90.00 90.00 132.29
Atoms (fractional coordinates):
1 Tl 0.155 0.845 0.500
2 Tl 0.845 0.155 0.000
3 Ag 0.007 0.993 0.705
4 Ag 0.083 0.548 0.189
5 Ag 0.285 0.354 0.906
6 Ag 0.326 0.674 0.759
7 Ag 0.354 0.285 0.406
8 Ag 0.452 0.917 0.189
9 Ag 0.548 0.083 0.689
10 Ag 0.646 0.715 0.906
11 Ag 0.674 0.326 0.259
12 Ag 0.715 0.646 0.406
13 Ag 0.917 0.452 0.689
14 Ag 0.993 0.007 0.205
15 Pd 0.060 0.298 0.497
16 Pd 0.298 0.060 0.997
17 Pd 0.400 0.600 0.298
18 Pd 0.600 0.400 0.798
19 Pd 0.702 0.940 0.497
20 Pd 0.940 0.702 0.997

The 10 most intense peaks (10 to 90 degrees two-theta), sorted by position:
| Position (°2θ) | intensity |
| --- | --- |
| 30.06 | 40.9 |
| 34.68 | 35.5 |
| 34.85 | 61.8 |
| 38.63 | 82.1 |
| 39.20 | 100.0 |
| 41.01 | 38.5 |
| 41.30 | 63.9 |
| 42.58 | 42.6 |
| 42.73 | 40.1 |
| 44.14 | 41.9 |



Starting from a cell relaxed with PBE, the X-ray powder pattern of Tl3AgPd6 was calculated for λ = 1.5418 Å (Cu Kα).
Lines closer than 0.1° are merged.

Atomic structure:
Lattice parameters (Å, degrees): 8.117 4.736 10.023 90.00 110.88 90.00
Atoms (fractional coordinates):
1 Tl 0.057 0.250 0.223
2 Tl 0.308 0.250 0.028
3 Tl 0.337 0.750 0.375
4 Tl 0.663 0.250 0.625
5 Tl 0.692 0.750 0.972
6 Tl 0.943 0.750 0.777
7 Ag 0.110 0.750 0.562
8 Ag 0.890 0.250 0.438
9 Pd 0.110 0.250 0.731
10 Pd 0.117 0.750 0.078
11 Pd 0.282 0.250 0.520
12 Pd 0.313 0.750 0.867
13 Pd 0.489 0.250 0.824
14 Pd 0.494 0.750 0.671
15 Pd 0.506 0.250 0.329
16 Pd 0.511 0.750 0.176
17 Pd 0.687 0.250 0.133
18 Pd 0.718 0.750 0.480
19 Pd 0.883 0.250 0.922
20 Pd 0.890 0.750 0.269

The 10 most intense peaks (10 to 90 degrees two-theta), sorted by position:
| Position (°2θ) | intensity |
| --- | --- |
| 35.37 | 37.8 |
| 38.00 | 66.1 |
| 38.89 | 100.0 |
| 40.32 | 51.4 |
| 40.78 | 86.1 |
| 52.89 | 23.9 |
| 69.24 | 18.5 |
| 70.53 | 16.9 |
| 75.18 | 15.1 |
| 77.98 | 25.4 |



Starting from a cell relaxed with PBE, the X-ray powder pattern of TlAg2Pd2 was calculated for λ = 1.5418 Å (Cu Kα).
Lines closer than 0.1° are merged.

Atomic structure:
Lattice parameters (Å, degrees): 7.685 7.685 7.685 144.30 134.60 59.05
Atoms (fractional coordinates):
1 Tl 0.381 0.131 0.250
2 Tl 0.619 0.869 0.750
3 Ag 0.119 0.869 0.250
4 Ag 0.247 0.497 0.750
5 Ag 0.753 0.503 0.250
6 Ag 0.881 0.131 0.750
7 Pd 0.180 0.683 0.497
8 Pd 0.315 0.317 0.997
9 Pd 0.685 0.683 0.003
10 Pd 0.820 0.317 0.503

The 10 most intense peaks (10 to 90 degrees two-theta), sorted by position:
| Position (°2θ) | intensity |
| --- | --- |
| 27.58 | 18.2 |
| 33.04 | 15.5 |
| 36.43 | 15.7 |
| 38.21 | 40.1 |
| 38.71 | 41.4 |
| 41.28 | 100.0 |
| 63.93 | 16.0 |
| 71.16 | 19.3 |
| 76.98 | 18.6 |
| 81.80 | 12.4 |



Starting from a cell relaxed with PBE, the X-ray powder pattern of TlAg2Pd2 was calculated for λ = 1.5418 Å (Cu Kα).
Lines closer than 0.1° are merged.

Atomic structure:
Lattice parameters (Å, degrees): 9.686 6.004 7.149 90.00 111.00 90.00
Atoms (fractional coordinates):
1 Tl 0.182 0.247 0.092
2 Tl 0.182 0.253 0.592
3 Tl 0.818 0.747 0.408
4 Tl 0.818 0.753 0.908
5 Ag 0.187 0.745 0.088
6 Ag 0.187 0.755 0.588
7 Ag 0.492 0.640 0.823
8 Ag 0.492 0.860 0.323
9 Ag 0.508 0.140 0.677
10 Ag 0.508 0.360 0.177
11 Ag 0.813 0.245 0.412
12 Ag 0.813 0.255 0.912
13 Pd 0.006 0.001 0.754
14 Pd 0.006 0.499 0.254
15 Pd 0.348 0.008 0.922
16 Pd 0.348 0.492 0.422
17 Pd 0.652 0.508 0.578
18 Pd 0.652 0.992 0.078
19 Pd 0.994 0.501 0.746
20 Pd 0.994 0.999 0.246

The 10 most intense peaks (10 to 90 degrees two-theta), sorted by position:
| Position (°2θ) | intensity |
| --- | --- |
| 19.92 | 17.0 |
| 32.10 | 16.3 |
| 35.91 | 29.9 |
| 38.86 | 60.8 |
| 39.19 | 100.0 |
| 39.32 | 52.1 |
| 42.50 | 75.9 |
| 51.11 | 19.1 |
| 68.28 | 19.1 |
| 75.74 | 19.9 |



Starting from a cell relaxed with PBE, the X-ray powder pattern of Tl2AgPd4 was calculated for λ = 1.5418 Å (Cu Kα).
Lines closer than 0.1° are merged.

Atomic structure:
Lattice parameters (Å, degrees): 5.703 5.703 5.703 117.88 117.88 93.72
Atoms (fractional coordinates):
1 Tl 0.000 0.500 0.500
2 Tl 0.500 0.000 0.500
3 Ag 0.000 0.000 0.000
4 Pd 0.000 0.000 0.500
5 Pd 0.000 0.500 0.000
6 Pd 0.500 0.000 0.000
7 Pd 0.500 0.500 0.500

The 10 most intense peaks (10 to 90 degrees two-theta), sorted by position:
| Position (°2θ) | intensity |
| --- | --- |
| 21.35 | 19.9 |
| 31.44 | 15.5 |
| 38.32 | 100.0 |
| 43.50 | 34.9 |
| 46.58 | 14.3 |
| 63.20 | 11.4 |
| 65.62 | 20.3 |
| 76.39 | 26.2 |
| 80.83 | 11.3 |
| 82.06 | 10.9 |



Starting from a cell relaxed with PBE, the X-ray powder pattern of TlAg2Pd6 was calculated for λ = 1.5418 Å (Cu Kα).
Lines closer than 0.1° are merged.

Atomic structure:
Lattice parameters (Å, degrees): 4.509 4.509 8.358 94.70 94.70 63.10
Atoms (fractional coordinates):
1 Tl 0.000 0.000 0.000
2 Ag 0.340 0.340 0.233
3 Ag 0.660 0.660 0.767
4 Pd 0.006 0.006 0.337
5 Pd 0.329 0.329 0.556
6 Pd 0.329 0.329 0.889
7 Pd 0.671 0.671 0.111
8 Pd 0.671 0.671 0.444
9 Pd 0.994 0.994 0.663

The 10 most intense peaks (10 to 90 degrees two-theta), sorted by position:
| Position (°2θ) | intensity |
| --- | --- |
| 38.18 | 100.0 |
| 40.20 | 85.8 |
| 40.45 | 83.8 |
| 55.10 | 33.8 |
| 61.49 | 11.6 |
| 70.28 | 31.9 |
| 70.50 | 15.8 |
| 70.76 | 15.6 |
| 74.71 | 12.9 |
| 86.84 | 9.1 |



Starting from a cell relaxed with PBE, the X-ray powder pattern of Tl2AgPd6 was calculated for λ = 1.5418 Å (Cu Kα).
Lines closer than 0.1° are merged.

Atomic structure:
Lattice parameters (Å, degrees): 4.520 4.520 8.510 95.39 95.39 63.66
Atoms (fractional coordinates):
1 Tl 0.160 0.160 0.271
2 Tl 0.840 0.840 0.729
3 Ag 0.500 0.500 0.500
4 Pd 0.171 0.171 0.609
5 Pd 0.171 0.171 0.947
6 Pd 0.495 0.495 0.164
7 Pd 0.505 0.505 0.836
8 Pd 0.829 0.829 0.053
9 Pd 0.829 0.829 0.391

The 10 most intense peaks (10 to 90 degrees two-theta), sorted by position:
| Position (°2θ) | intensity |
| --- | --- |
| 37.51 | 60.7 |
| 37.74 | 61.1 |
| 40.05 | 100.0 |
| 40.17 | 99.4 |
| 54.26 | 41.5 |
| 61.63 | 13.5 |
| 69.30 | 19.3 |
| 69.56 | 19.3 |
| 69.73 | 38.3 |
| 74.58 | 22.9 |



Starting from a cell relaxed with PBE, the X-ray powder pattern of TlAg2Pd2 was calculated for λ = 1.5418 Å (Cu Kα).
Lines closer than 0.1° are merged.

Atomic structure:
Lattice parameters (Å, degrees): 7.026 7.026 3.917 90.00 90.00 90.00
Atoms (fractional coordinates):
1 Tl 0.000 0.000 0.000
2 Tl 0.500 0.500 0.000
3 Ag 0.156 0.344 0.500
4 Ag 0.344 0.844 0.500
5 Ag 0.656 0.156 0.500
6 Ag 0.844 0.656 0.500
7 Pd 0.138 0.638 0.000
8 Pd 0.362 0.138 0.000
9 Pd 0.638 0.862 0.000
10 Pd 0.862 0.362 0.000

The 10 most intense peaks (10 to 90 degrees two-theta), sorted by position:
| Position (°2θ) | intensity |
| --- | --- |
| 22.70 | 13.7 |
| 29.03 | 26.0 |
| 34.29 | 32.9 |
| 36.16 | 13.0 |
| 36.67 | 100.0 |
| 40.60 | 65.2 |
| 46.36 | 23.2 |
| 47.02 | 17.4 |
| 63.30 | 34.6 |
| 77.04 | 15.5 |



Starting from a cell relaxed with PBE, the X-ray powder pattern of TmAg2Pd7 was calculated for λ = 1.5418 Å (Cu Kα).
Lines closer than 0.1° are merged.

Atomic structure:
Lattice parameters (Å, degrees): 7.798 7.798 4.369 90.00 90.00 125.35
Atoms (fractional coordinates):
1 Tm 0.000 0.000 0.000
2 Ag 0.298 0.702 0.500
3 Ag 0.702 0.298 0.500
4 Pd 0.082 0.286 0.500
5 Pd 0.190 0.810 0.000
6 Pd 0.286 0.082 0.500
7 Pd 0.500 0.500 0.500
8 Pd 0.714 0.918 0.500
9 Pd 0.810 0.190 0.000
10 Pd 0.918 0.714 0.500

The 10 most intense peaks (10 to 90 degrees two-theta), sorted by position:
| Position (°2θ) | intensity |
| --- | --- |
| 13.92 | 41.7 |
| 20.33 | 29.1 |
| 24.72 | 38.4 |
| 24.87 | 21.5 |
| 36.08 | 33.9 |
| 40.56 | 100.0 |
| 41.33 | 40.5 |
| 43.71 | 59.0 |
| 46.81 | 20.4 |
| 78.27 | 21.3 |